[1]
Simulated powder X-ray diffraction pattern
Compound: Dy2Tm4In
Radiation: Cu Ka
Structure: a GGA-PBE-relaxed structure
Lines closer than 0.1° are merged.

Largest 6 diffraction maxima, sorted by position, 10 to 90 degrees two-theta:
Position (°2θ)  I (rel.)
28.8  50
31.2  46
32.4  100
33.3  84
33.7  62
35.6  79

Cell and atoms:
abc: 6.4817 6.1661 10.5754
angles: 90.00 90.00 90.00
Element x y z (fractional)
1 Dy 0.0000 0.2421 0.0011
2 Dy 0.0000 0.7579 0.9989
3 Dy 0.5000 0.2421 0.4989
4 Dy 0.5000 0.7579 0.5011
5 Tm 0.0000 0.0014 0.3270
6 Tm 0.0000 0.9986 0.6730
7 Tm 0.2500 0.4981 0.7500
8 Tm 0.2500 0.5019 0.2500
9 Tm 0.5000 0.0014 0.1730
10 Tm 0.5000 0.9986 0.8270
11 Tm 0.7500 0.4981 0.7500
12 Tm 0.7500 0.5019 0.2500
13 In 0.0000 0.5000 0.5000
14 In 0.5000 0.5000 0.0000


[2]
Simulated powder X-ray diffraction pattern
Compound: Dy6Tm2In
Radiation: Cu Ka
Structure: a GGA-PBE-relaxed structure
Lines closer than 0.1° are merged.

Largest 6 diffraction maxima, sorted by position, 10 to 90 degrees two-theta:
Position (°2θ)  I (rel.)
30.9  77
31.5  100
34.1  40
37.3  45
51.4  32
62.9  28

Cell and atoms:
abc: 9.5296 9.5296 9.5296
angles: 159.09 115.96 68.17
Element x y z (fractional)
1 Dy 0.0133 0.1766 0.8367
2 Dy 0.3071 0.5000 0.8071
3 Dy 0.3398 0.1766 0.1633
4 Dy 0.6602 0.8234 0.8367
5 Dy 0.6929 0.5000 0.1929
6 Dy 0.9867 0.8234 0.1633
7 Tm 0.3446 0.8446 0.5000
8 Tm 0.6554 0.1554 0.5000
9 In 0.0000 0.0000 0.0000


[3]
Simulated powder X-ray diffraction pattern
Compound: Dy15Tm4In
Radiation: Cu Ka
Structure: a GGA-PBE-relaxed structure
Lines closer than 0.1° are merged.

Largest 6 diffraction maxima, sorted by position, 10 to 90 degrees two-theta:
Position (°2θ)  I (rel.)
31.2  100
35.9  17
36.4  33
52.0  24
61.6  14
62.2  28

Cell and atoms:
abc: 4.9429 4.9429 25.0150
angles: 90.00 90.00 90.00
Element x y z (fractional)
1 Dy 0.0000 0.0000 0.0000
2 Dy 0.0000 0.0000 0.1964
3 Dy 0.0000 0.0000 0.3987
4 Dy 0.0000 0.0000 0.6013
5 Dy 0.0000 0.0000 0.8036
6 Dy 0.0000 0.5000 0.0973
7 Dy 0.0000 0.5000 0.2985
8 Dy 0.0000 0.5000 0.5000
9 Dy 0.0000 0.5000 0.7015
10 Dy 0.0000 0.5000 0.9027
11 Dy 0.5000 0.0000 0.0973
12 Dy 0.5000 0.0000 0.2985
13 Dy 0.5000 0.0000 0.5000
14 Dy 0.5000 0.0000 0.7015
15 Dy 0.5000 0.0000 0.9027
16 Tm 0.5000 0.5000 0.1983
17 Tm 0.5000 0.5000 0.3994
18 Tm 0.5000 0.5000 0.6006
19 Tm 0.5000 0.5000 0.8017
20 In 0.5000 0.5000 0.0000


[4]
Simulated powder X-ray diffraction pattern
Compound: Dy2Tm6In
Radiation: Cu Ka
Structure: a GGA-PBE-relaxed structure
Lines closer than 0.1° are merged.

Largest 6 diffraction maxima, sorted by position, 10 to 90 degrees two-theta:
Position (°2θ)  I (rel.)
30.7  58
31.4  55
31.7  51
33.0  100
38.1  35
56.9  29

Cell and atoms:
abc: 9.6914 9.6914 6.0398
angles: 95.92 95.92 72.00
Element x y z (fractional)
1 Dy 0.0661 0.2889 0.0692
2 Dy 0.2889 0.0661 0.5692
3 Dy 0.7111 0.9339 0.4308
4 Dy 0.9339 0.7111 0.9308
5 Tm 0.0823 0.8100 0.4790
6 Tm 0.1534 0.4315 0.6320
7 Tm 0.1900 0.9177 0.0210
8 Tm 0.2782 0.5173 0.1624
9 Tm 0.4315 0.1534 0.1320
10 Tm 0.4827 0.7218 0.3376
11 Tm 0.5173 0.2782 0.6624
12 Tm 0.5685 0.8466 0.8680
13 Tm 0.7218 0.4827 0.8376
14 Tm 0.8100 0.0823 0.9790
15 Tm 0.8466 0.5685 0.3680
16 Tm 0.9177 0.1900 0.5210
17 In 0.3699 0.6301 0.7500
18 In 0.6301 0.3699 0.2500